1.
This entry pairs a crystal structure of K2Tl2SnPb with its calculated X-ray diffraction stick pattern. Radiation: Cu Kα (λ = 1.5418 Å). Structure: the PBE geometry in Alexandria.
Lines closer than 0.1° are merged.

The 10 most intense peaks (2θ = 5–70°), low angle first:
2θ/deg, I (rel.)
9.96, 62
20.55, 56
27.40, 31
32.58, 100
35.33, 21
36.32, 42
42.09, 18
55.61, 17
62.94, 15
63.05, 15

Cell and atoms:
Lattice parameters (Å, degrees): 10.1684 10.1684 10.1684 139.70 58.22 139.82
Fractional positions:
K 0.1668 0.2412 0.4080
K 0.3332 0.7412 0.0743
K 0.6668 0.2588 0.9257
K 0.8332 0.7588 0.5920
Tl 0.1197 0.7364 0.8561
Tl 0.3803 0.2364 0.6168
Tl 0.6197 0.7636 0.3832
Tl 0.8803 0.2636 0.1439
Sn 0.2500 0.7500 0.5000
Sn 0.7500 0.2500 0.5000
Pb 0.2500 0.2500 0.0000
Pb 0.7500 0.7500 0.0000


2.
This entry pairs a crystal structure of TcPC2 with its calculated X-ray diffraction stick pattern. Radiation: Cu Kα (λ = 1.5418 Å). Structure: the PBE geometry in Alexandria.
Lines closer than 0.1° are merged.

The 10 most intense peaks (2θ = 5–70°), low angle first:
2θ/deg, I (rel.)
14.65, 89
29.54, 51
36.45, 100
39.47, 76
44.97, 13
47.59, 80
59.21, 45
61.32, 3
65.59, 25
67.62, 11

Cell and atoms:
Lattice parameters (Å, degrees): 2.8467 2.8467 6.0471 90.00 90.00 120.00
Fractional positions:
Tc 0.0000 0.0000 0.0000
P 0.0000 0.0000 0.4000
C 0.6667 0.3333 0.5436
C 0.6667 0.3333 0.7877


3.
This entry pairs a crystal structure of K4Pm3HfO8 with its calculated X-ray diffraction stick pattern. Radiation: Cu Kα (λ = 1.5418 Å). Structure: the PBE geometry in Alexandria.
Lines closer than 0.1° are merged.

The 10 most intense peaks (2θ = 5–70°), low angle first:
2θ/deg, I (rel.)
14.06, 96
28.33, 34
29.72, 37
30.85, 75
35.06, 100
44.86, 19
48.79, 34
52.02, 31
54.16, 19
60.29, 26

Cell and atoms:
Lattice parameters (Å, degrees): 7.4953 7.4953 7.4953 55.95 55.95 55.95
Fractional positions:
K 0.0000 0.0000 0.0000
K 0.0000 0.5000 0.5000
K 0.5000 0.0000 0.5000
K 0.5000 0.5000 0.0000
Pm 0.0000 0.0000 0.5000
Pm 0.0000 0.5000 0.0000
Pm 0.5000 0.0000 0.0000
Hf 0.5000 0.5000 0.5000
O 0.2338 0.2338 0.2338
O 0.2617 0.7107 0.7107
O 0.2893 0.2893 0.7383
O 0.2893 0.7383 0.2893
O 0.7107 0.2617 0.7107
O 0.7107 0.7107 0.2617
O 0.7383 0.2893 0.2893
O 0.7662 0.7662 0.7662


4.
This entry pairs a crystal structure of Tb12PrNd7 with its calculated X-ray diffraction stick pattern. Radiation: Cu Kα (λ = 1.5418 Å). Structure: the PBE geometry in Alexandria.
Lines closer than 0.1° are merged.

The 10 most intense peaks (2θ = 5–70°), low angle first:
2θ/deg, I (rel.)
27.77, 16
28.72, 25
30.45, 36
31.29, 100
31.54, 45
32.39, 20
32.74, 51
36.30, 16
41.68, 15
54.75, 18

Cell and atoms:
Lattice parameters (Å, degrees): 8.8407 8.8407 8.8407 86.28 86.28 86.28
Fractional positions:
Tb 0.0051 0.3675 0.8806
Tb 0.1194 0.9949 0.6325
Tb 0.2235 0.7561 0.3517
Tb 0.2439 0.6483 0.7765
Tb 0.3517 0.2235 0.7561
Tb 0.3675 0.8806 0.0051
Tb 0.6325 0.1194 0.9949
Tb 0.6483 0.7765 0.2439
Tb 0.7561 0.3517 0.2235
Tb 0.7765 0.2439 0.6483
Tb 0.8806 0.0051 0.3675
Tb 0.9949 0.6325 0.1194
Pr 0.5000 0.5000 0.5000
Nd 0.0000 0.0000 0.0000
Nd 0.1017 0.3442 0.4239
Nd 0.3442 0.4239 0.1017
Nd 0.4239 0.1017 0.3442
Nd 0.5761 0.8983 0.6558
Nd 0.6558 0.5761 0.8983
Nd 0.8983 0.6558 0.5761